Computed PXRD pattern of PtS2O8 for λ = 1.5418 Å (Cu Kα), from a structure optimized by DFT (PBE).
Intensities are scaled so that the largest is 100.

Structural model:
Cell lengths 9.022, 8.389, 9.548 Å; angles 90.00, 117.24, 90.00 degrees
Fractional positions:
Pt1 0.038 0.057 0.134
Pt2 0.038 0.443 0.634
Pt3 0.962 0.557 0.366
Pt4 0.962 0.943 0.866
S1 0.212 0.225 0.953
S2 0.212 0.275 0.453
S3 0.278 0.713 0.631
S4 0.278 0.787 0.131
S5 0.722 0.213 0.869
S6 0.722 0.287 0.369
S7 0.788 0.725 0.547
S8 0.788 0.775 0.047
O1 0.086 0.146 0.370
O2 0.086 0.354 0.870
O3 0.126 0.732 0.461
O4 0.126 0.768 0.961
O5 0.142 0.073 0.850
O6 0.142 0.427 0.350
O7 0.206 0.617 0.731
O8 0.206 0.883 0.231
O9 0.211 0.197 0.112
O10 0.211 0.303 0.612
O11 0.322 0.631 0.196
O12 0.322 0.869 0.696
O13 0.377 0.243 0.477
O14 0.377 0.257 0.977
O15 0.398 0.608 0.618
O16 0.398 0.892 0.118
O17 0.602 0.108 0.882
O18 0.602 0.392 0.382
O19 0.623 0.743 0.023
O20 0.623 0.757 0.523
O21 0.678 0.131 0.304
O22 0.678 0.369 0.804
O23 0.789 0.697 0.388
O24 0.789 0.803 0.888
O25 0.794 0.117 0.769
O26 0.794 0.383 0.269
O27 0.858 0.573 0.650
O28 0.858 0.927 0.150
O29 0.874 0.232 0.039
O30 0.874 0.268 0.539
O31 0.914 0.646 0.130
O32 0.914 0.854 0.630

The 10 most intense peaks (2θ from 10° to 90°), in order of rising 2θ:
2theta	I (rel.)	h k l
11.03	100	1 0 0
14.85	56	0 1 1
15.39	57	1 1 -1
22.38	23	2 1 -1
23.96	21	1 2 0
24.88	11	2 1 -2
30.85	17	2 2 0
33.44	12	0 1 3
37.27	13	1 3 -2
38.58	14	1 0 -4